# 1
Simulated powder diffractogram
Compound: U2S5
Radiation: Cu Ka
Structure: the GGA-PBE geometry in the Materials Project
Neutral-atom scattering factors, no anomalous dispersion.

The 12 most intense peaks (2θ = 15–90°), in order of rising 2θ:
24.09°, I 63.5
24.76°, I 100.0
34.33°, I 37.4
36.26°, I 15.1
40.29°, I 15.2
42.79°, I 83.9
44.01°, I 26.9
50.79°, I 13.3
55.63°, I 15.0
67.33°, I 19.7
68.23°, I 14.9
82.59°, I 12.2

Crystal structure
Lattice parameters (Å, degrees): 7.3849 9.9103 7.3922 90.00 90.00 90.00
Space group Pbcn (No. 60)
Asymmetric unit:
U 0.2379 0.1473 0.0116 x8
S 0.0000 0.2501 0.7500 x4
S 0.1061 0.3976 0.1439 x8
S 0.1325 0.1063 0.3829 x8


# 2
Simulated powder diffractogram
Compound: U3S5
Radiation: Cu Ka
Structure: the GGA-PBE geometry in the Materials Project
Neutral-atom scattering factors, no anomalous dispersion.

The 12 most intense peaks (2θ = 15–90°), in order of rising 2θ:
23.85°, I 20.7
24.53°, I 100.0
26.72°, I 71.3
33.77°, I 22.9
35.91°, I 45.5
38.15°, I 33.1
38.59°, I 44.3
47.01°, I 30.4
48.67°, I 37.0
49.19°, I 30.1
52.02°, I 28.0
72.70°, I 19.3

Crystal structure
Lattice parameters (Å, degrees): 10.5507 10.5507 5.6806 90.00 90.00 90.00
Space group I4/mcm (No. 140)
Asymmetric unit:
U 0.0000 0.0000 0.2500 x4
U 0.1578 0.3422 0.0000 x8
S 0.0000 0.5000 0.2500 x4
S 0.0810 0.2163 0.5000 x16


# 3
Simulated powder diffractogram
Compound: U11S20
Radiation: Cu Ka
Structure: the GGA-PBE geometry in the Materials Project
Neutral-atom scattering factors, no anomalous dispersion.

The 12 most intense peaks (2θ = 15–90°), in order of rising 2θ:
24.06°, I 100.0
27.73°, I 38.8
28.10°, I 15.6
34.44°, I 17.3
39.17°, I 25.0
39.62°, I 18.5
39.89°, I 27.5
45.70°, I 9.9
47.36°, I 23.5
47.51°, I 10.5
50.39°, I 23.5
66.30°, I 10.9

Crystal structure
Lattice parameters (Å, degrees): 10.1738 10.1738 6.3519 90.00 90.00 90.00
Space group P4 (No. 75)
Asymmetric unit:
U 0.0000 0.0000 0.0000 x1
U 0.0000 0.0000 0.4985 x1
U 0.1565 0.3497 0.8967 x4
U 0.1624 0.6474 0.3945 x4
U 0.5000 0.5000 0.7773 x1
S 0.0000 0.5000 0.1468 x2
S 0.0000 0.5000 0.6434 x2
S 0.0902 0.2079 0.2562 x4
S 0.0896 0.7928 0.7538 x4
S 0.2902 0.4111 0.5309 x4
S 0.2912 0.5887 0.0194 x4


# 4
Simulated powder diffractogram
Compound: U3S5
Radiation: Cu Ka
Structure: the GGA-PBE geometry in the Materials Project
Neutral-atom scattering factors, no anomalous dispersion.

The 12 most intense peaks (2θ = 15–90°), in order of rising 2θ:
24.36°, I 47.0
26.14°, I 100.0
26.97°, I 67.4
27.52°, I 60.8
34.90°, I 23.9
37.08°, I 57.4
38.72°, I 24.6
43.97°, I 16.6
46.39°, I 21.6
47.32°, I 42.0
50.05°, I 16.1
54.02°, I 30.0

Crystal structure
Lattice parameters (Å, degrees): 11.5633 7.8290 7.3076 90.00 90.00 90.00
Space group Pnma (No. 62)
Asymmetric unit:
U 0.0071 0.2500 0.0792 x4
U 0.1796 0.0020 0.5217 x8
S 0.0001 0.2500 0.4646 x4
S 0.0979 0.5480 0.1688 x8
S 0.1873 0.2500 0.8299 x4
S 0.2185 0.7500 0.7970 x4


# 5
Simulated powder diffractogram
Compound: U8VS17
Radiation: Cu Ka
Structure: the GGA-PBE geometry in the Materials Project
Neutral-atom scattering factors, no anomalous dispersion.

The 12 most intense peaks (2θ = 15–90°), in order of rising 2θ:
20.18°, I 40.1
23.47°, I 29.4
24.39°, I 59.4
25.49°, I 100.0
26.11°, I 61.1
26.32°, I 32.9
27.44°, I 59.8
27.81°, I 83.7
35.03°, I 29.8
35.62°, I 41.7
41.10°, I 38.7
43.52°, I 37.0

Crystal structure
Lattice parameters (Å, degrees): 13.1339 8.3178 10.2775 90.00 100.99 90.00
Space group C2/m (No. 12)
Asymmetric unit:
U 0.0585 0.2413 0.2018 x8
U 0.1829 0.5000 0.5177 x4
U 0.2042 0.0000 0.9566 x4
V 0.0000 0.0000 0.5000 x2
S 0.0000 0.0000 0.0000 x2
S 0.0211 0.5000 0.6695 x4
S 0.0614 0.0000 0.7280 x4
S 0.1273 0.3054 0.9658 x8
S 0.1326 0.1907 0.4707 x8
S 0.1974 0.5000 0.2547 x4
S 0.2124 0.0000 0.2209 x4


# 6
Simulated powder diffractogram
Compound: ZrU2S5
Radiation: Cu Ka
Structure: the GGA-PBE geometry in the Materials Project
Neutral-atom scattering factors, no anomalous dispersion.

The 12 most intense peaks (2θ = 15–90°), in order of rising 2θ:
15.48°, I 26.7
22.88°, I 36.0
24.56°, I 52.8
26.39°, I 100.0
27.17°, I 46.8
27.74°, I 48.7
33.81°, I 33.5
35.20°, I 77.3
37.38°, I 59.3
46.74°, I 28.2
47.78°, I 41.6
54.47°, I 29.4

Crystal structure
Lattice parameters (Å, degrees): 11.4495 7.7736 7.2501 90.00 90.00 90.00
Space group Pnma (No. 62)
Asymmetric unit:
Zr 0.0061 0.2500 0.0811 x4
U 0.1790 0.5006 0.5295 x8
S 0.0018 0.2500 0.4551 x4
S 0.0917 0.5409 0.1661 x8
S 0.1845 0.2500 0.8359 x4
S 0.2119 0.7500 0.8112 x4


# 7
Simulated powder diffractogram
Compound: VS4
Radiation: Cu Ka
Structure: the GGA-PBE geometry in the Materials Project
Neutral-atom scattering factors, no anomalous dispersion.

The 12 most intense peaks (2θ = 15–90°), in order of rising 2θ:
15.63°, I 100.0
30.25°, I 10.4
35.52°, I 14.9
36.10°, I 10.5
39.15°, I 13.2
39.56°, I 22.7
42.28°, I 14.7
44.29°, I 12.1
45.39°, I 13.8
45.58°, I 16.4
50.62°, I 10.8
54.85°, I 16.8

Crystal structure
Lattice parameters (Å, degrees): 12.9917 11.3365 7.3061 90.00 114.55 90.00
Space group C2/c (No. 15)
Asymmetric unit:
V 0.1341 0.2503 0.3839 x8
S 0.0117 0.1618 0.0422 x8
S 0.0310 0.3391 0.0614 x8
S 0.2251 0.3029 0.7309 x8
S 0.2464 0.4191 0.5385 x8


# 8
Simulated powder diffractogram
Compound: V3S5
Radiation: Cu Ka
Structure: the GGA-PBE geometry in the Materials Project
Neutral-atom scattering factors, no anomalous dispersion.

The 12 most intense peaks (2θ = 15–90°), in order of rising 2θ:
15.14°, I 71.4
35.46°, I 47.4
35.50°, I 93.0
44.63°, I 20.2
44.78°, I 100.0
56.77°, I 33.5
56.98°, I 16.2
57.43°, I 9.8
57.62°, I 10.3
57.63°, I 9.6
63.62°, I 11.7
75.22°, I 10.9

Crystal structure
Lattice parameters (Å, degrees): 5.6237 6.6845 8.0969 109.98 110.23 90.18
Space group P-1 (No. 2)
Asymmetric unit:
V 0.0000 0.0000 0.0000 x1
V 0.1055 0.7136 0.2158 x2
V 0.3122 0.1078 0.6083 x2
V 0.5000 0.5000 0.0000 x1
S 0.0169 0.9441 0.6953 x2
S 0.1832 0.4472 0.7002 x2
S 0.2153 0.3549 0.0996 x2
S 0.3840 0.8498 0.0980 x2
S 0.4195 0.7509 0.5015 x2